Structure and simulated powder X-ray diffraction pattern of Li2MgPbF6 (a cell relaxed with PBE; CuKα).
Neutral-atom scattering factors, no anomalous dispersion.

Main lines, sorted by position (2θ = 10–90°):
2θ/deg, I_rel
18.16, 343
19.85, 758
22.49, 1000
30.96, 533
33.03, 303
36.13, 251
37.95, 506
38.84, 267
40.33, 314
45.90, 212
50.28, 317
57.71, 211

Cell and atoms:
```
data_Li2MgPbF6
_chemical_formula_sum 'Li6 Mg3 Pb3 F18'
_space_group_name_H-M_alt 'R 3'
_space_group_IT_number 146
_space_group_name_Hall 'R 3'
_cell_length_a 5.4233
_cell_length_b 5.4233
_cell_length_c 14.6517
_cell_angle_alpha 90.00
_cell_angle_beta 90.00
_cell_angle_gamma 120.00
loop_
_atom_site_label
_atom_site_type_symbol
_atom_site_fract_x
_atom_site_fract_y
_atom_site_fract_z
Li1 Li 0.0000 0.0000 0.0000
Li2 Li 0.0000 0.0000 0.4904
Mg1 Mg 0.0000 0.0000 0.7002
Pb1 Pb 0.0000 0.0000 0.2192
F1 F 0.0000 0.3344 0.0974
F2 F 0.0215 0.5893 0.2742
```